Record 1
The following is a calculated powder X-ray diffraction pattern of Mn3O4F2. It was derived from a cell relaxed with GGA+U, using Cu Ka.
No peak broadening, texture or thermal motion is included.

Main lines, low angle first (5 to 70 degrees two-theta):
2θ (°)  d_spacing  I_rel  h k l
26.97  3.306  100  1 1 1
27.47  3.247  95  -1 1 1
35.04  2.561  48  0 2 -1
35.23  2.547  25  1 -1 2
35.33  2.540  23  0 0 3
40.43  2.231  16  1 -2 1
52.87  1.732  29  1 3 0
53.63  1.709  41  1 -3 0
55.60  1.653  16  2 2 2
56.70  1.624  15  -2 2 2
60.55  1.529  16  0 2 -4
67.82  1.382  21  0 4 1

Structural model:
```
data_Mn3O4F2
_cell_length_a 4.6419
_cell_length_b 5.5686
_cell_length_c 7.6355
_cell_angle_alpha 86.54
_cell_angle_beta 89.62
_cell_angle_gamma 88.97
_space_group_name_H-M_alt 'P -1'
_space_group_IT_number 2
loop_
_space_group_symop_operation_xyz
'x,y,z'
'-x,-y,-z'
loop_
_atom_site_label
_atom_site_fract_x
_atom_site_fract_y
_atom_site_fract_z
Mn1 0.0000 0.0000 0.0000
Mn2 0.0052 0.3278 0.6828
Mn3 0.4632 0.1569 0.3408
Mn4 0.5000 0.5000 0.0000
O1 0.1888 0.9564 0.2261
O2 0.1903 0.2959 0.9054
O3 0.3048 0.4622 0.2354
O4 0.3061 0.1274 0.5714
F1 0.1897 0.6314 0.5610
F2 0.3115 0.8076 0.8808
```

Record 2
The following is a calculated powder X-ray diffraction pattern of Mn3O4F2. It was derived from a cell relaxed with GGA+U, using Cu Ka.
No peak broadening, texture or thermal motion is included.

Main lines, low angle first (5 to 70 degrees two-theta):
2θ (°)  d_spacing  I_rel  h k l
26.72  3.336  100  1 1 0
27.28  3.270  94  1 -1 0
35.27  2.545  43  1 0 3
35.72  2.514  39  0 1 -3
38.55  2.335  19  2 0 0
40.76  2.214  21  1 -1 3
52.60  1.740  28  2 1 3
53.56  1.711  54  -1 2 3
53.88  1.702  26  -2 1 3
56.28  1.635  16  2 -2 0
67.35  1.390  20  3 0 3
68.20  1.375  20  3 0 -3

Structural model:
```
data_Mn3O4F2
_cell_length_a 4.6718
_cell_length_b 4.6720
_cell_length_c 9.0263
_cell_angle_alpha 89.28
_cell_angle_beta 89.15
_cell_angle_gamma 88.83
_space_group_name_H-M_alt 'P 1'
_space_group_IT_number 1
loop_
_space_group_symop_operation_xyz
'x,y,z'
loop_
_atom_site_label
_atom_site_fract_x
_atom_site_fract_y
_atom_site_fract_z
Mn1 0.0000 0.0000 0.0000
Mn2 0.0016 0.9991 0.6817
Mn3 0.0064 0.0063 0.3642
Mn4 0.4975 0.4965 0.8621
Mn5 0.5018 0.5021 0.4963
Mn6 0.5138 0.5135 0.1804
O1 0.1967 0.8134 0.8477
O2 0.2026 0.8004 0.5179
O3 0.3103 0.3102 0.0167
O4 0.3251 0.3246 0.3465
O5 0.6902 0.6895 0.3478
O6 0.7164 0.7161 0.0174
O7 0.8026 0.2003 0.5177
O8 0.8143 0.1957 0.8476
F1 0.1888 0.8300 0.1829
F2 0.3176 0.3164 0.6705
F3 0.6779 0.6766 0.6801
F4 0.8297 0.1890 0.1820
```

Record 3
The following is a calculated powder X-ray diffraction pattern of Mn6O7F5. It was derived from a cell relaxed with GGA+U, using Cu Ka.
No peak broadening, texture or thermal motion is included.

Main lines, low angle first (5 to 70 degrees two-theta):
2θ (°)  d_spacing  I_rel  h k l
24.71  3.602  56  1 1 0
25.20  3.534  52  1 -1 0
30.25  2.954  50  1 1 3
30.50  2.931  49  1 1 -3
30.78  2.905  100  1 -1 3
35.19  2.550  21  0 0 6
36.35  2.471  22  0 2 3
36.48  2.463  20  0 2 -3
41.83  2.159  20  -1 2 3
53.40  1.716  25  2 0 6
53.83  1.703  42  2 0 -6
54.14  1.694  19  2 2 -3

Structural model:
```
data_Mn6O7F5
_cell_length_a 4.6083
_cell_length_b 5.6387
_cell_length_c 15.3023
_cell_angle_alpha 89.76
_cell_angle_beta 89.57
_cell_angle_gamma 88.87
_space_group_name_H-M_alt 'P 1'
_space_group_IT_number 1
loop_
_space_group_symop_operation_xyz
'x,y,z'
loop_
_atom_site_label
_atom_site_fract_x
_atom_site_fract_y
_atom_site_fract_z
Mn1 0.0000 0.0000 0.0000
Mn2 0.0001 0.0070 0.3344
Mn3 0.0005 0.2822 0.1607
Mn4 0.0089 0.2960 0.8323
Mn5 0.0152 0.3035 0.4968
Mn6 0.0226 0.9981 0.6680
Mn7 0.5117 0.4970 0.6518
Mn8 0.5210 0.8077 0.4848
Mn9 0.5310 0.8174 0.1589
Mn10 0.5417 0.8191 0.8230
Mn11 0.5541 0.5032 0.9929
Mn12 0.5632 0.4964 0.3219
O1 0.2289 0.2681 0.6063
O2 0.2334 0.0315 0.1051
O3 0.2348 0.0335 0.4372
O4 0.2416 0.0378 0.7743
O5 0.7321 0.5389 0.5425
O6 0.7334 0.7615 0.7120
O7 0.7360 0.7660 0.0484
O8 0.7463 0.5444 0.8814
O9 0.7493 0.7691 0.3781
O10 0.7531 0.5337 0.2130
O11 0.7912 0.2630 0.3872
O12 0.7918 0.2609 0.0550
O13 0.7938 0.0474 0.2235
O14 0.7980 0.0506 0.8925
F1 0.2551 0.2720 0.2678
F2 0.2639 0.5290 0.7675
F3 0.2658 0.7676 0.5901
F4 0.2728 0.5229 0.1025
F5 0.2751 0.2723 0.9449
F6 0.2750 0.7747 0.9367
F7 0.2792 0.7752 0.2702
F8 0.2888 0.5250 0.4219
F9 0.7516 0.2623 0.7223
F10 0.7701 0.0319 0.5619
```

Record 4
The following is a calculated powder X-ray diffraction pattern of Mn6O7F5. It was derived from a cell relaxed with GGA+U, using Cu Ka.
No peak broadening, texture or thermal motion is included.

Main lines, low angle first (5 to 70 degrees two-theta):
2θ (°)  d_spacing  I_rel  h k l
25.47  3.497  100  1 1 1
28.06  3.180  82  -1 1 1
34.91  2.570  22  1 -1 2
35.06  2.560  22  0 0 3
35.16  2.552  22  0 2 -1
35.33  2.540  20  1 1 -2
38.25  2.353  15  0 2 2
41.22  2.190  16  1 0 -3
51.13  1.787  30  1 1 4
51.64  1.770  15  1 3 0
52.32  1.749  16  2 2 2
60.88  1.522  15  0 2 -4

Structural model:
```
data_Mn6O7F5
_cell_length_a 4.7248
_cell_length_b 5.6131
_cell_length_c 7.7254
_cell_angle_alpha 84.83
_cell_angle_beta 86.08
_cell_angle_gamma 85.84
_space_group_name_H-M_alt 'P 1'
_space_group_IT_number 1
loop_
_space_group_symop_operation_xyz
'x,y,z'
loop_
_atom_site_label
_atom_site_fract_x
_atom_site_fract_y
_atom_site_fract_z
Mn1 0.0000 0.0000 0.0000
Mn2 0.0047 0.6612 0.3514
Mn3 0.5015 0.5003 0.0133
Mn4 0.5339 0.8457 0.6880
Mn5 0.5421 0.1841 0.3413
Mn6 0.9743 0.3418 0.6788
O1 0.3183 0.4618 0.2462
O2 0.3226 0.8075 0.9116
O3 0.6991 0.8765 0.4493
O4 0.7084 0.2060 0.1072
O5 0.7096 0.5423 0.7875
O6 0.8205 0.0575 0.7724
O7 0.8253 0.3834 0.4617
F1 0.1843 0.9532 0.2405
F2 0.1962 0.3064 0.8910
F3 0.2047 0.6260 0.5952
F4 0.3079 0.1466 0.5738
F5 0.8155 0.7024 0.1123
```

Record 5
The following is a calculated powder X-ray diffraction pattern of Mn8O13F3. It was derived from a cell relaxed with GGA+U, using Cu Ka.
No peak broadening, texture or thermal motion is included.

Main lines, low angle first (5 to 70 degrees two-theta):
2θ (°)  d_spacing  I_rel  h k l
25.31  3.518  61  0 1 2
25.65  3.473  57  0 1 -2
30.92  2.892  49  1 1 2
31.26  2.861  100  1 -1 2
31.40  2.849  46  1 1 -2
35.88  2.502  23  2 0 0
37.03  2.428  23  1 2 0
37.20  2.417  21  1 -2 0
54.56  1.682  25  2 0 4
55.07  1.668  23  2 0 -4
55.17  1.665  19  1 2 4
55.55  1.654  20  -1 2 4

Structural model:
```
data_Mn8O13F3
_cell_length_a 5.0052
_cell_length_b 5.5366
_cell_length_c 9.0174
_cell_angle_alpha 89.25
_cell_angle_beta 89.50
_cell_angle_gamma 89.68
_space_group_name_H-M_alt 'P 1'
_space_group_IT_number 1
loop_
_space_group_symop_operation_xyz
'x,y,z'
loop_
_atom_site_label
_atom_site_fract_x
_atom_site_fract_y
_atom_site_fract_z
Mn1 0.0000 0.0000 0.0000
Mn2 0.9998 0.4515 0.2519
Mn3 0.0023 0.5060 0.7578
Mn4 0.4861 0.6889 0.5079
Mn5 0.5005 0.1858 0.2518
Mn6 0.5158 0.6909 0.9998
Mn7 0.5181 0.1952 0.7580
Mn8 0.9991 0.9876 0.4989
O1 0.1651 0.7282 0.6163
O2 0.1778 0.2206 0.1378
O3 0.3210 0.4364 0.3691
O4 0.3279 0.9401 0.3817
O5 0.3366 0.9525 0.8894
O6 0.3379 0.4541 0.8691
O7 0.6690 0.9485 0.6149
O8 0.6773 0.4405 0.1357
O9 0.6772 0.9458 0.1202
O10 0.6777 0.4523 0.6373
O11 0.8226 0.2160 0.3657
O12 0.8386 0.2321 0.8637
O13 0.8410 0.7327 0.8900
F1 0.1707 0.7077 0.1266
F2 0.1867 0.2313 0.6391
F3 0.8204 0.6959 0.3774
```

Record 6
The following is a calculated powder X-ray diffraction pattern of Mn12O5F19. It was derived from a cell relaxed with GGA+U, using Cu Ka.
No peak broadening, texture or thermal motion is included.

Main lines, low angle first (5 to 70 degrees two-theta):
2θ (°)  d_spacing  I_rel  h k l
23.61  3.768  34  1 1 0
23.87  3.727  32  1 -1 0
28.87  3.093  35  1 1 3
29.29  3.049  100  -1 1 3
33.82  2.650  14  0 0 6
50.10  1.821  11  1 3 0
50.68  1.801  16  2 0 6
51.17  1.785  29  2 0 -6
51.74  1.767  13  2 2 -3
52.01  1.758  24  2 -2 3
60.87  1.522  11  0 2 9
61.64  1.505  11  0 2 -9

Structural model:
```
data_Mn12O5F19
_cell_length_a 4.8735
_cell_length_b 5.8632
_cell_length_c 15.9048
_cell_angle_alpha 89.26
_cell_angle_beta 89.51
_cell_angle_gamma 89.37
_space_group_name_H-M_alt 'P 1'
_space_group_IT_number 1
loop_
_space_group_symop_operation_xyz
'x,y,z'
loop_
_atom_site_label
_atom_site_fract_x
_atom_site_fract_y
_atom_site_fract_z
Mn1 0.0000 0.0000 0.0000
Mn2 0.0014 0.0195 0.6729
Mn3 0.0151 0.6833 0.1670
Mn4 0.0409 0.6792 0.8403
Mn5 0.4685 0.5225 0.0067
Mn6 0.4876 0.2097 0.1698
Mn7 0.4951 0.2154 0.8356
Mn8 0.5015 0.5263 0.6708
Mn9 0.5039 0.2144 0.5074
Mn10 0.5217 0.5406 0.3426
Mn11 0.9598 0.6886 0.5055
Mn12 0.9931 0.0029 0.3416
O1 0.2161 0.7278 0.9489
O2 0.2810 0.4722 0.1110
O3 0.2987 0.4783 0.7806
O4 0.7029 0.4847 0.5620
O5 0.7836 0.7515 0.3994
F1 0.2062 0.7322 0.6112
F2 0.2252 0.9688 0.4577
F3 0.2255 0.9733 0.1149
F4 0.2376 0.7509 0.2797
F5 0.2469 0.9702 0.7798
F6 0.2588 0.4690 0.4466
F7 0.2633 0.2348 0.9442
F8 0.2650 0.2419 0.2868
F9 0.2694 0.2517 0.6189
F10 0.7151 0.4823 0.9029
F11 0.7234 0.2501 0.0530
F12 0.7334 0.2477 0.3937
F13 0.7334 0.2530 0.7280
F14 0.7379 0.4635 0.2285
F15 0.7525 0.9748 0.5676
F16 0.7573 0.7511 0.0625
F17 0.7669 0.9661 0.2247
F18 0.7729 0.9754 0.8846
F19 0.7925 0.7303 0.7336
```

Record 7
The following is a calculated powder X-ray diffraction pattern of Mn6O7F5. It was derived from a cell relaxed with GGA+U, using Cu Ka.
No peak broadening, texture or thermal motion is included.

Main lines, low angle first (5 to 70 degrees two-theta):
2θ (°)  d_spacing  I_rel  h k l
24.74  3.598  59  1 1 0
24.96  3.568  58  1 -1 0
30.24  2.955  54  1 1 3
30.49  2.932  100  1 -1 3
30.69  2.913  50  -1 1 3
35.16  2.553  21  0 0 6
36.25  2.478  43  0 2 3
53.13  1.724  26  2 0 6
53.83  1.703  43  2 0 -6
54.23  1.691  19  2 2 -3
54.33  1.688  20  2 -2 3
54.64  1.680  19  -2 2 3

Structural model:
```
data_Mn6O7F5
_cell_length_a 4.6245
_cell_length_b 5.6681
_cell_length_c 15.3172
_cell_angle_alpha 89.91
_cell_angle_beta 89.32
_cell_angle_gamma 89.50
_space_group_name_H-M_alt 'P 1'
_space_group_IT_number 1
loop_
_space_group_symop_operation_xyz
'x,y,z'
loop_
_atom_site_label
_atom_site_fract_x
_atom_site_fract_y
_atom_site_fract_z
Mn1 0.0000 0.0000 0.0000
Mn2 0.9999 0.0034 0.6663
Mn3 0.0054 0.6930 0.8324
Mn4 0.0214 0.6896 0.5023
Mn5 0.4631 0.4729 0.6709
Mn6 0.4701 0.4791 0.3417
Mn7 0.4706 0.1911 0.5099
Mn8 0.4721 0.1842 0.1747
Mn9 0.4728 0.1800 0.8429
Mn10 0.4824 0.4739 0.0147
Mn11 0.9787 0.6859 0.1639
Mn12 0.9958 0.0061 0.3330
O1 0.1910 0.9458 0.2222
O2 0.1984 0.9532 0.8905
O3 0.2065 0.9523 0.5577
O4 0.2087 0.7247 0.0564
O5 0.2094 0.7320 0.3912
O6 0.2142 0.7270 0.7222
O7 0.2560 0.2403 0.7350
O8 0.2595 0.2330 0.0662
O9 0.2602 0.4486 0.5643
O10 0.2629 0.2396 0.4036
O11 0.6953 0.2196 0.2820
O12 0.6985 0.4563 0.1174
O13 0.6999 0.2216 0.6157
O14 0.7063 0.2235 0.9486
F1 0.2134 0.4473 0.2323
F2 0.2485 0.4572 0.9056
F3 0.7107 0.4649 0.7829
F4 0.7257 0.7112 0.2774
F5 0.7356 0.7075 0.9433
F6 0.7401 0.4607 0.4540
F7 0.7437 0.7087 0.6110
F8 0.7445 0.9647 0.4469
F9 0.7451 0.9587 0.1038
F10 0.7488 0.9644 0.7732
```

Record 8
The following is a calculated powder X-ray diffraction pattern of Mn6OF11. It was derived from a cell relaxed with GGA+U, using Cu Ka.
No peak broadening, texture or thermal motion is included.

Main lines, low angle first (5 to 70 degrees two-theta):
2θ (°)  d_spacing  I_rel  h k l
25.39  3.509  100  0 2 0
26.01  3.426  92  2 0 -2
32.51  2.754  52  1 1 2
32.60  2.747  50  3 1 0
37.27  2.413  22  2 2 1
49.48  1.842  69  1 3 2
50.09  1.821  30  1 1 -4
50.27  1.815  29  5 1 -2
52.14  1.754  20  0 4 0
55.30  1.661  22  4 0 2
63.36  1.468  24  1 3 -4
63.51  1.465  24  5 3 -2

Structural model:
```
data_Mn6OF11
_cell_length_a 9.5272
_cell_length_b 7.0172
_cell_length_c 7.6270
_cell_angle_alpha 90.00
_cell_angle_beta 109.95
_cell_angle_gamma 90.00
_space_group_name_H-M_alt 'C 1 m 1'
_space_group_IT_number 8
loop_
_space_group_symop_operation_xyz
'x,y,z'
'x,-y,z'
'x+1/2,y+1/2,z'
'x+1/2,-y+1/2,z'
loop_
_atom_site_label
_atom_site_fract_x
_atom_site_fract_y
_atom_site_fract_z
Mn1 0.0000 0.0000 0.0000
Mn2 0.0035 0.0000 0.4686
Mn3 0.1730 0.5000 0.6541
Mn4 0.1874 0.5000 0.1496
Mn5 0.3363 0.0000 0.8264
Mn6 0.3427 0.0000 0.3199
O1 0.4087 0.5000 0.1809
F1 0.0064 0.3036 0.4907
F2 0.0693 0.5000 0.8552
F3 0.0989 0.0000 0.7931
F4 0.1703 0.1914 0.1501
F5 0.2397 0.0000 0.5288
F6 0.2736 0.5000 0.4484
F7 0.3423 0.3063 0.8254
F8 0.4513 0.0000 0.1212
```

Record 9
The following is a calculated powder X-ray diffraction pattern of Mn3OF6. It was derived from a cell relaxed with GGA+U, using Cu Ka.
No peak broadening, texture or thermal motion is included.

Main lines, low angle first (5 to 70 degrees two-theta):
2θ (°)  d_spacing  I_rel  h k l
20.34  4.366  100  1 -1 0
27.23  3.275  18  1 1 3
30.73  2.910  25  0 2 -2
31.64  2.828  22  0 2 4
32.05  2.793  18  1 3 2
32.23  2.778  31  1 1 -2
33.36  2.686  16  1 -1 3
39.88  2.261  17  1 -2 3
48.18  1.889  17  2 2 -1
48.98  1.860  16  -2 2 3
51.94  1.760  20  2 4 3
52.25  1.751  22  -2 4 1

Structural model:
```
data_Mn3OF6
_cell_length_a 4.8322
_cell_length_b 10.2345
_cell_length_c 11.6323
_cell_angle_alpha 65.57
_cell_angle_beta 79.68
_cell_angle_gamma 89.62
_space_group_name_H-M_alt 'P 1'
_space_group_IT_number 1
loop_
_space_group_symop_operation_xyz
'x,y,z'
loop_
_atom_site_label
_atom_site_fract_x
_atom_site_fract_y
_atom_site_fract_z
Mn1 0.0000 0.0000 0.0000
Mn2 0.0071 0.7797 0.8751
Mn3 0.1587 0.1278 0.7077
Mn4 0.2899 0.4731 0.5655
Mn5 0.3093 0.3243 0.3380
Mn6 0.4400 0.6810 0.1546
Mn7 0.4774 0.4987 0.0097
Mn8 0.6038 0.2961 0.8547
Mn9 0.6433 0.6349 0.6906
Mn10 0.6976 0.9814 0.5467
Mn11 0.8389 0.8223 0.3301
Mn12 0.9058 0.1850 0.1429
O1 0.4591 0.4653 0.7045
O2 0.6715 0.6543 0.0146
O3 0.8016 0.1651 0.9983
O4 0.9143 0.9882 0.8495
F1 0.9995 0.6032 0.5928
F2 0.0695 0.2147 0.2686
F3 0.1027 0.4307 0.4513
F4 0.1493 0.0173 0.1370
F5 0.1714 0.7169 0.2760
F6 0.1928 0.5131 0.1467
F7 0.2221 0.8257 0.0123
F8 0.2743 0.3397 0.9995
F9 0.3151 0.6432 0.8493
F10 0.3542 0.1376 0.8570
F11 0.4018 0.9767 0.6975
F12 0.4375 0.2799 0.5910
F13 0.4746 0.8175 0.5705
F14 0.5072 0.1465 0.4339
F15 0.5645 0.6436 0.4482
F16 0.5780 0.5095 0.2800
F17 0.6509 0.0145 0.2700
F18 0.6525 0.3390 0.1431
F19 0.7120 0.8337 0.1488
F20 0.7651 0.4843 0.8659
F21 0.8440 0.7855 0.7176
F22 0.9475 0.1060 0.5695
F23 0.9490 0.2887 0.7179
F24 0.9720 0.9158 0.4482
```

- Number 6 is which compound?
  Mn12O5F19